[1]
Theoretical powder X-ray diffraction pattern
Compound: PrDy7Ho12
Radiation: Cu Kα (weighted mean of Kα1 and Kα2)
Structure: a DFT-relaxed cell (PBE, Alexandria)
Kinematic intensities with the Lorentz-polarization factor, no thermal factor.

Main lines, sorted by position (2θ = 5–70°):
2θ/deg, I_rel, index
24.10, 15, 3 0 0
27.49, 20, 1 0 4
29.82, 66, 1 3 1
30.91, 43, 0 2 4
31.98, 100, 4 -1 2
39.57, 32, 3 -2 5
42.40, 34, 4 1 3
47.13, 14, 3 0 6
51.54, 14, 5 2 0
55.67, 19, 2 5 3

Atomic structure:
a = 12.7877 Å, b = 12.7877 Å, c = 13.5721 Å
α = 90.00°, β = 90.00°, γ = 120.00°
Space group R-3 (No. 148, hexagonal axes)
Inequivalent atoms, fractional coordinates:
Pr1 0.0000 0.0000 0.0000
Dy1 0.0000 0.0000 0.5000
Dy2 0.0682 0.8658 0.8505
Ho1 0.0040 0.4367 0.2469
Ho2 0.0682 0.1993 0.3452

=====

[2]
Theoretical powder X-ray diffraction pattern
Compound: Zr6NiPd5
Radiation: Cu Kα (weighted mean of Kα1 and Kα2)
Structure: a DFT-relaxed cell (PBE, Alexandria)
Kinematic intensities with the Lorentz-polarization factor, no thermal factor.

Main lines, sorted by position (2θ = 5–70°):
2θ/deg, I_rel, index
37.26, 100, 1 2 0
37.98, 48, -1 2 1
38.14, 43, 1 2 -3
38.79, 49, 2 0 -1
40.06, 39, 0 0 3
51.56, 16, 0 4 -2
55.81, 15, 2 0 2
58.14, 12, 2 0 -4
66.27, 8, 2 -4 1
68.69, 16, 3 2 -1

Atomic structure:
a = 4.6466 Å, b = 7.0901 Å, c = 7.8898 Å
α = 116.46°, β = 105.16°, γ = 90.12°
Space group P-1 (No. 2)
Inequivalent atoms, fractional coordinates:
Zr1 0.0080 0.2601 0.0390
Zr2 0.3300 0.5760 0.6500
Zr3 0.3366 0.0872 0.6915
Ni1 0.5000 0.0000 0.0000
Pd1 0.1748 0.7002 0.3299
Pd2 0.1803 0.1359 0.3407
Pd3 0.5000 0.5000 0.0000